GeC: computed XRD peak list (CuKα), based on a GGA-PBE-relaxed structure.

Largest 6 diffraction maxima, by intensity, 15 to 90 degrees two-theta:
2θ/deg	I_rel
35.44	100.0
41.15	85.2
59.61	53.7
71.30	40.8
75.00	17.7
89.32	8.7

Structure:
a = 3.1020 Å, b = 3.1020 Å, c = 3.1020 Å
α = 60.00°, β = 60.00°, γ = 60.00°
Positions (direct):
Ge 0.0000 0.0000 0.0000
C 0.5000 0.5000 0.5000